1.
Structure and theoretical powder X-ray diffraction pattern of Lu2PdO4 (the GGA-PBE geometry in Alexandria; copper Kα).
Peak positions follow from Bragg's law for the DFT cell and can differ from measured ones.

Structural model:
abc: 11.651 5.533 5.529
angles: 90.00 90.00 90.00
Space group Cmce (No. 64)
Symmetry-distinct sites (fractional):
Lu 0.162 0.000 0.000 [8 per cell]
Pd 0.000 0.000 0.500 [4 per cell]
O 0.000 0.168 0.168 [8 per cell]
O 0.250 0.241 0.750 [8 per cell]

Main lines, by angle (15° ≤ 2θ ≤ 90°):
24.0°, I = 7
32.4°, I = 41
32.5°, I = 100
46.4°, I = 23
46.8°, I = 9
57.8°, I = 43
58.0°, I = 21
68.0°, I = 11
77.2°, I = 16
77.7°, I = 8

***

2.
Structure and theoretical powder X-ray diffraction pattern of Rb3LuO3 (the GGA-PBE geometry in Alexandria; copper Kα).
Peak positions follow from Bragg's law for the DFT cell and can differ from measured ones.

Structural model:
abc: 7.772 7.371 11.802
angles: 90.00 94.14 90.00
Space group P2_1/c (No. 14)
Symmetry-distinct sites (fractional):
Rb 0.070 0.122 0.158 [4 per cell]
Rb 0.354 0.160 0.920 [4 per cell]
Rb 0.379 0.691 0.811 [4 per cell]
Lu 0.158 0.589 0.069 [4 per cell]
O 0.114 0.052 0.411 [4 per cell]
O 0.252 0.651 0.548 [4 per cell]
O 0.298 0.050 0.696 [4 per cell]

Main lines, by angle (15° ≤ 2θ ≤ 90°):
17.9°, I = 24
26.6°, I = 22
27.5°, I = 50
28.1°, I = 100
28.5°, I = 54
29.3°, I = 45
32.8°, I = 49
34.8°, I = 18
37.1°, I = 22
42.7°, I = 23

***

3.
Structure and theoretical powder X-ray diffraction pattern of RbLuS2O8 (the GGA-PBE geometry in Alexandria; copper Kα).
Peak positions follow from Bragg's law for the DFT cell and can differ from measured ones.

Structural model:
abc: 8.930 5.111 7.738
angles: 90.00 94.68 90.00
Space group P2/c (No. 13)
Symmetry-distinct sites (fractional):
Rb 0.000 0.190 0.250 [2 per cell]
Lu 0.500 0.105 0.250 [2 per cell]
S 0.290 0.321 0.849 [4 per cell]
O 0.147 0.317 0.926 [4 per cell]
O 0.288 0.149 0.692 [4 per cell]
O 0.331 0.406 0.303 [4 per cell]
O 0.419 0.204 0.965 [4 per cell]

Main lines, by angle (15° ≤ 2θ ≤ 90°):
17.4°, I = 37
20.0°, I = 79
20.9°, I = 34
23.1°, I = 100
26.6°, I = 71
28.3°, I = 95
29.7°, I = 74
37.1°, I = 35
39.2°, I = 39
42.9°, I = 33

***

4.
Structure and theoretical powder X-ray diffraction pattern of LuRhO3 (the GGA-PBE geometry in Alexandria; copper Kα).
Peak positions follow from Bragg's law for the DFT cell and can differ from measured ones.

Structural model:
abc: 5.720 7.582 5.209
angles: 90.00 90.00 90.00
Space group Pnma (No. 62)
Symmetry-distinct sites (fractional):
Lu 0.086 0.250 0.033 [4 per cell]
Rh 0.000 0.000 0.500 [4 per cell]
O 0.061 0.750 0.353 [4 per cell]
O 0.188 0.569 0.825 [8 per cell]

Main lines, by angle (15° ≤ 2θ ≤ 90°):
25.9°, I = 24
31.3°, I = 16
33.2°, I = 100
33.5°, I = 15
34.4°, I = 23
48.0°, I = 22
48.8°, I = 13
52.5°, I = 16
60.4°, I = 17
60.9°, I = 18

***

5.
Structure and theoretical powder X-ray diffraction pattern of Lu2S3O12 (the GGA-PBE geometry in Alexandria; copper Kα).
Peak positions follow from Bragg's law for the DFT cell and can differ from measured ones.

Structural model:
abc: 9.0814 9.0814 23.5070
angles: 90.00 90.00 120.00
Space group R-3c (No. 167, hexagonal axes)
Symmetry-distinct sites (fractional):
Lu 0.0000 0.0000 0.1441 [12 per cell]
S 0.0000 0.2853 0.2500 [18 per cell]
O 0.0294 0.2116 0.9075 [36 per cell]
O 0.0302 0.2073 0.1993 [36 per cell]

Main lines, by angle (15° ≤ 2θ ≤ 90°):
18.9°, I = 100
19.6°, I = 84
22.6°, I = 34
27.3°, I = 60
30.1°, I = 54
33.8°, I = 40
34.2°, I = 33
44.3°, I = 22
49.4°, I = 26
53.4°, I = 24

***

6.
Structure and theoretical powder X-ray diffraction pattern of YbLuSO2 (the GGA-PBE geometry in Alexandria; copper Kα).
Peak positions follow from Bragg's law for the DFT cell and can differ from measured ones.

Structural model:
abc: 3.7302 3.7302 6.6739
angles: 90.00 90.00 120.00
Space group P3m1 (No. 156)
Symmetry-distinct sites (fractional):
Yb 0.0000 0.0000 0.0000 [1 per cell]
Lu 0.6667 0.3333 0.4264 [1 per cell]
S 0.3333 0.6667 0.7152 [1 per cell]
O 0.0000 0.0000 0.3595 [1 per cell]
O 0.6667 0.3333 0.0984 [1 per cell]

Main lines, by angle (15° ≤ 2θ ≤ 90°):
26.7°, I = 23
27.6°, I = 20
30.7°, I = 100
38.8°, I = 31
48.8°, I = 29
49.8°, I = 23
56.5°, I = 18
58.8°, I = 16
65.3°, I = 11
79.9°, I = 14

***

7.
Structure and theoretical powder X-ray diffraction pattern of Lu2Sb2O7 (the GGA-PBE geometry in Alexandria; copper Kα).
Peak positions follow from Bragg's law for the DFT cell and can differ from measured ones.

Structural model:
abc: 10.643 7.583 7.543
angles: 90.00 90.00 90.00
Space group Ima2 (No. 46)
Symmetry-distinct sites (fractional):
Lu 0.000 0.000 0.000 [4 per cell]
Lu 0.250 0.195 0.239 [4 per cell]
Sb 0.000 0.000 0.535 [4 per cell]
Sb 0.250 0.745 0.738 [4 per cell]
O 0.113 0.573 0.263 [8 per cell]
O 0.117 0.248 0.510 [8 per cell]
O 0.130 0.547 0.712 [8 per cell]
O 0.250 0.685 0.989 [4 per cell]

Main lines, by angle (15° ≤ 2θ ≤ 90°):
23.6°, I = 16
28.9°, I = 100
29.0°, I = 99
33.5°, I = 43
33.7°, I = 28
48.3°, I = 70
57.1°, I = 18
57.2°, I = 24
57.4°, I = 29
78.1°, I = 14